The following is a simulated powder X-ray diffraction pattern of Te. It was derived from DFT lattice parameters and positions (GGA-PBE), using a wavelength of 1.5418 Å.

Atomic structure:
```
Te
1.0
9.269 0.000 0.000
0.000 3.197 0.000
0.000 0.000 4.428
Te
4
Direct
0.000 0.000 0.000 Te
0.250 0.000 0.474 Te
0.500 0.000 0.000 Te
0.750 0.000 0.526 Te
```

Peak list (10 most intense, 2θ from 15° to 90°, low angle first)
- 3.200 Å, 2θ 27.9, I = 100
- 2.317 Å, 2θ 38.9, I = 14
- 2.262 Å, 2θ 39.8, I = 51
- 2.214 Å, 2θ 40.8, I = 11
- 1.876 Å, 2θ 48.5, I = 14
- 1.820 Å, 2θ 50.1, I = 12
- 1.600 Å, 2θ 57.6, I = 12
- 1.431 Å, 2θ 65.2, I = 23
- 1.327 Å, 2θ 71.0, I = 10
- 1.287 Å, 2θ 73.6, I = 7